This entry pairs a crystal structure of LiMg2FeH6 with its computed powder XRD pattern. Radiation: Cu Kα (λ = 1.5418 Å). Structure: DFT lattice parameters and positions (PBE).
Lines closer than 0.1° are merged.

Largest 6 diffraction maxima, by angle, 2θ = 10–90°:
| 2θ (°) | d (Å) | I (rel.) | h k l |
| --- | --- | --- | --- |
| 17.9 | 4.956 | 100 | 0 0 1 |
| 22.8 | 3.897 | 36 | 1 0 0 |
| 29.2 | 3.063 | 60 | 1 0 1 |
| 40.1 | 2.250 | 59 | 1 1 0 |
| 43.3 | 2.091 | 49 | 1 0 2 |
| 44.2 | 2.049 | 48 | 1 1 1 |

Atomic structure:
Cell lengths 4.4999, 4.4999, 4.9556 Å; angles 90.00, 90.00, 120.00 degrees
Element x y z (fractional)
Li (0.0000, 0.0000, 0.0000)
Mg (0.3333, 0.6667, 0.3509)
Mg (0.6667, 0.3333, 0.6491)
Fe (0.0000, 0.0000, 0.5000)
H (0.1610, 0.3221, 0.6999)
H (0.1610, 0.8390, 0.6999)
H (0.3221, 0.1610, 0.3001)
H (0.6779, 0.8390, 0.6999)
H (0.8390, 0.1610, 0.3001)
H (0.8390, 0.6779, 0.3001)